HoErCdCu: theoretical X-ray powder pattern (Cu Kα X-rays), based on a crystal structure in Alexandria, relaxed with PBE.
Peak positions follow from Bragg's law for the DFT cell and can differ from measured ones.

Cell and atoms:
abc: 3.481 3.481 7.626
angles: 90.00 90.00 90.00
Positions (direct):
Ho 0.000 0.000 0.000
Er 0.000 0.000 0.558
Cd 0.500 0.500 0.281
Cu 0.500 0.500 0.777

Peak list (12 most intense, 10° ≤ 2θ ≤ 80°, low angle first)
index  two_theta  d/Å  I/Imax
1 0 0  25.59  3.481  9
1 0 1  28.18  3.167  8
1 0 2  34.90  2.571  100
1 1 0  36.50  2.462  48
0 0 4  47.70  1.907  8
1 1 3  51.69  1.768  6
2 0 0  52.58  1.741  17
1 1 4  61.52  1.507  14
2 1 2  64.67  1.441  32
1 0 5  66.98  1.397  6
2 0 4  73.70  1.285  8
2 2 0  77.56  1.231  5